(1)
LaSi2Pt5: simulated X-ray diffraction stick pattern (Cu Kα X-rays), based on a PBE-relaxed structure.
Kinematic intensities with the Lorentz-polarization factor, no thermal factor.

Main lines, by angle (10° ≤ 2θ ≤ 80°):
2θ/deg	I/Imax
15.45	262
31.19	269
35.05	885
35.47	1000
44.57	266
45.04	359
45.24	392
77.11	265

Structure:
```
data_LaSi2Pt5
_cell_length_a 4.009
_cell_length_b 7.077
_cell_length_c 9.788
_cell_angle_alpha 90.00
_cell_angle_beta 90.00
_cell_angle_gamma 90.00
_space_group_name_H-M_alt 'P 1'
_space_group_IT_number 1
_space_group_name_Hall 'P 1'
loop_
_atom_site_label
_atom_site_type_symbol
_atom_site_fract_x
_atom_site_fract_y
_atom_site_fract_z
La1 La 0.000 0.000 0.000
La2 La 0.500 0.500 0.500
Si1 Si 0.000 0.500 0.245
Si2 Si 0.000 0.500 0.755
Si3 Si 0.500 0.000 0.255
Si4 Si 0.500 0.000 0.745
Pt1 Pt 0.000 0.199 0.350
Pt2 Pt 0.000 0.199 0.650
Pt3 Pt 0.000 0.500 0.000
Pt4 Pt 0.000 0.801 0.350
Pt5 Pt 0.000 0.801 0.650
Pt6 Pt 0.500 0.000 0.500
Pt7 Pt 0.500 0.301 0.150
Pt8 Pt 0.500 0.301 0.850
Pt9 Pt 0.500 0.699 0.150
Pt10 Pt 0.500 0.699 0.850
```

(2)
Pm2Cd3Hg: simulated X-ray diffraction stick pattern (Cu Kα X-rays), based on a PBE-relaxed structure.
Kinematic intensities with the Lorentz-polarization factor, no thermal factor.

Main lines, by angle (10° ≤ 2θ ≤ 80°):
2θ/deg	I/Imax
33.13	1000
35.66	900
49.46	322
53.14	94
62.43	211
62.52	105
64.10	106
65.65	297

Structure:
```
data_Pm2Cd3Hg
_cell_length_a 10.077
_cell_length_b 9.388
_cell_length_c 6.097
_cell_angle_alpha 78.02
_cell_angle_beta 65.69
_cell_angle_gamma 36.29
_space_group_name_H-M_alt 'P 1'
_space_group_IT_number 1
_space_group_name_Hall 'P 1'
loop_
_atom_site_label
_atom_site_type_symbol
_atom_site_fract_x
_atom_site_fract_y
_atom_site_fract_z
Pm1 Pm 0.247 0.753 0.753
Pm2 Pm 0.250 0.250 0.250
Pm3 Pm 0.750 0.750 0.750
Pm4 Pm 0.753 0.247 0.247
Cd1 Cd 0.169 0.665 0.335
Cd2 Cd 0.334 0.334 0.666
Cd3 Cd 0.335 0.831 0.169
Cd4 Cd 0.665 0.169 0.831
Cd5 Cd 0.666 0.666 0.334
Cd6 Cd 0.831 0.335 0.665
Hg1 Hg 0.167 0.167 0.833
Hg2 Hg 0.833 0.833 0.167
```

(3)
TbGd2In3Ni3: simulated X-ray diffraction stick pattern (Cu Kα X-rays), based on a PBE-relaxed structure.
Kinematic intensities with the Lorentz-polarization factor, no thermal factor.

Main lines, by angle (10° ≤ 2θ ≤ 80°):
2θ/deg	I/Imax
33.52	1000
36.37	764
36.84	557
41.99	218
47.38	207
56.73	242
61.48	244
67.83	244

Structure:
```
data_TbGd2In3Ni3
_cell_length_a 3.838
_cell_length_b 7.454
_cell_length_c 7.454
_cell_angle_alpha 119.99
_cell_angle_beta 90.00
_cell_angle_gamma 90.00
_space_group_name_H-M_alt 'P 1'
_space_group_IT_number 1
_space_group_name_Hall 'P 1'
loop_
_atom_site_label
_atom_site_type_symbol
_atom_site_fract_x
_atom_site_fract_y
_atom_site_fract_z
Tb1 Tb 0.000 0.000 0.000
Gd1 Gd 0.000 0.175 0.588
Gd2 Gd 0.000 0.588 0.175
In1 In 0.500 0.335 0.335
In2 In 0.500 0.588 0.840
In3 In 0.500 0.840 0.588
Ni1 Ni 0.000 0.588 0.588
Ni2 Ni 0.500 0.254 0.921
Ni3 Ni 0.500 0.921 0.254
```

(4)
SrPaAsO: simulated X-ray diffraction stick pattern (Cu Kα X-rays), based on a PBE-relaxed structure.
Kinematic intensities with the Lorentz-polarization factor, no thermal factor.

Main lines, by angle (10° ≤ 2θ ≤ 80°):
2θ/deg	I/Imax
18.40	353
20.87	407
23.49	692
27.96	644
30.13	1000
38.58	328
38.85	468
49.95	433

Structure:
```
data_SrPaAsO
_cell_length_a 4.257
_cell_length_b 8.293
_cell_length_c 5.927
_cell_angle_alpha 90.00
_cell_angle_beta 90.00
_cell_angle_gamma 90.00
_space_group_name_H-M_alt 'P 1'
_space_group_IT_number 1
_space_group_name_Hall 'P 1'
loop_
_atom_site_label
_atom_site_type_symbol
_atom_site_fract_x
_atom_site_fract_y
_atom_site_fract_z
Sr1 Sr 0.000 0.100 0.000
Sr2 Sr 0.000 0.900 0.500
Pa1 Pa 0.500 0.314 0.439
Pa2 Pa 0.500 0.686 0.939
As1 As 0.500 0.342 0.935
As2 As 0.500 0.658 0.435
O1 O 0.000 0.209 0.413
O2 O 0.000 0.791 0.913
```

(5)
Sn10PtS10: simulated X-ray diffraction stick pattern (Cu Kα X-rays), based on a PBE-relaxed structure.
Kinematic intensities with the Lorentz-polarization factor, no thermal factor.

Main lines, by angle (10° ≤ 2θ ≤ 80°):
2θ/deg	I/Imax
11.14	499
22.40	711
27.04	645
27.23	1000
32.49	712
32.78	879
41.55	564
45.73	838

Structure:
```
data_Sn10PtS10
_cell_length_a 11.081
_cell_length_b 11.380
_cell_length_c 8.693
_cell_angle_alpha 90.00
_cell_angle_beta 90.00
_cell_angle_gamma 90.00
_space_group_name_H-M_alt 'P 1'
_space_group_IT_number 1
_space_group_name_Hall 'P 1'
loop_
_atom_site_label
_atom_site_type_symbol
_atom_site_fract_x
_atom_site_fract_y
_atom_site_fract_z
Sn1 Sn 0.000 0.000 0.235
Sn2 Sn 0.000 0.000 0.765
Sn3 Sn 0.137 0.410 0.261
Sn4 Sn 0.137 0.410 0.739
Sn5 Sn 0.151 0.682 0.000
Sn6 Sn 0.236 0.680 0.500
Sn7 Sn 0.264 0.180 0.500
Sn8 Sn 0.349 0.182 0.000
Sn9 Sn 0.363 0.910 0.261
Sn10 Sn 0.363 0.910 0.739
Sn11 Sn 0.500 0.500 0.235
Sn12 Sn 0.500 0.500 0.765
Sn13 Sn 0.637 0.090 0.261
Sn14 Sn 0.637 0.090 0.739
Sn15 Sn 0.651 0.818 0.000
Sn16 Sn 0.736 0.820 0.500
Sn17 Sn 0.764 0.320 0.500
Sn18 Sn 0.849 0.318 0.000
Sn19 Sn 0.863 0.590 0.261
Sn20 Sn 0.863 0.590 0.739
Pt1 Pt 0.000 0.500 0.000
Pt2 Pt 0.500 0.000 0.000
S1 S 0.017 0.319 0.500
S2 S 0.135 0.905 0.000
S3 S 0.181 0.187 0.198
S4 S 0.181 0.187 0.802
S5 S 0.193 0.941 0.500
S6 S 0.307 0.441 0.500
S7 S 0.319 0.687 0.198
S8 S 0.319 0.687 0.802
S9 S 0.365 0.405 0.000
S10 S 0.483 0.819 0.500
S11 S 0.517 0.181 0.500
S12 S 0.635 0.595 0.000
S13 S 0.681 0.313 0.198
S14 S 0.681 0.313 0.802
S15 S 0.693 0.559 0.500
S16 S 0.807 0.059 0.500
S17 S 0.819 0.813 0.198
S18 S 0.819 0.813 0.802
S19 S 0.865 0.095 0.000
S20 S 0.983 0.681 0.500
```

(6)
LiTaCuSn: simulated X-ray diffraction stick pattern (Cu Kα X-rays), based on a PBE-relaxed structure.
Kinematic intensities with the Lorentz-polarization factor, no thermal factor.

Main lines, by angle (10° ≤ 2θ ≤ 80°):
2θ/deg	I/Imax
24.34	131
28.18	462
40.28	1000
47.62	63
49.88	135
58.27	170
65.96	183
73.21	346

Structure:
```
data_LiTaCuSn
_cell_length_a 6.334
_cell_length_b 6.334
_cell_length_c 6.334
_cell_angle_alpha 90.00
_cell_angle_beta 90.00
_cell_angle_gamma 90.00
_space_group_name_H-M_alt 'P 1'
_space_group_IT_number 1
_space_group_name_Hall 'P 1'
loop_
_atom_site_label
_atom_site_type_symbol
_atom_site_fract_x
_atom_site_fract_y
_atom_site_fract_z
Li1 Li 0.000 0.000 0.000
Li2 Li 0.000 0.500 0.500
Li3 Li 0.500 0.000 0.500
Li4 Li 0.500 0.500 0.000
Ta1 Ta 0.250 0.250 0.750
Ta2 Ta 0.250 0.750 0.250
Ta3 Ta 0.750 0.250 0.250
Ta4 Ta 0.750 0.750 0.750
Cu1 Cu 0.000 0.000 0.500
Cu2 Cu 0.000 0.500 0.000
Cu3 Cu 0.500 0.000 0.000
Cu4 Cu 0.500 0.500 0.500
Sn1 Sn 0.250 0.250 0.250
Sn2 Sn 0.250 0.750 0.750
Sn3 Sn 0.750 0.250 0.750
Sn4 Sn 0.750 0.750 0.250
```

(7)
InSiPt5: simulated X-ray diffraction stick pattern (Cu Kα X-rays), based on a PBE-relaxed structure.
Kinematic intensities with the Lorentz-polarization factor, no thermal factor.

Main lines, by angle (10° ≤ 2θ ≤ 80°):
2θ/deg	I/Imax
31.60	189
34.06	426
37.83	242
40.68	1000
45.29	472
60.44	250
65.98	155
74.45	196

Structure:
```
data_InSiPt5
_cell_length_a 4.005
_cell_length_b 4.005
_cell_length_c 7.135
_cell_angle_alpha 90.00
_cell_angle_beta 90.00
_cell_angle_gamma 90.00
_space_group_name_H-M_alt 'P 1'
_space_group_IT_number 1
_space_group_name_Hall 'P 1'
loop_
_atom_site_label
_atom_site_type_symbol
_atom_site_fract_x
_atom_site_fract_y
_atom_site_fract_z
In1 In 0.000 0.000 0.000
Si1 Si 0.500 0.500 0.500
Pt1 Pt 0.000 0.500 0.296
Pt2 Pt 0.000 0.500 0.704
Pt3 Pt 0.500 0.000 0.296
Pt4 Pt 0.500 0.000 0.704
Pt5 Pt 0.500 0.500 0.000
```

(8)
LiNbSeS: simulated X-ray diffraction stick pattern (Cu Kα X-rays), based on a PBE-relaxed structure.
Kinematic intensities with the Lorentz-polarization factor, no thermal factor.

Main lines, by angle (10° ≤ 2θ ≤ 80°):
2θ/deg	I/Imax
13.36	857
30.71	425
32.92	570
36.33	270
40.69	1000
51.48	161
53.17	387
69.04	201

Structure:
```
data_LiNbSeS
_cell_length_a 3.445
_cell_length_b 3.445
_cell_length_c 13.251
_cell_angle_alpha 90.00
_cell_angle_beta 90.00
_cell_angle_gamma 120.00
_space_group_name_H-M_alt 'P 1'
_space_group_IT_number 1
_space_group_name_Hall 'P 1'
loop_
_atom_site_label
_atom_site_type_symbol
_atom_site_fract_x
_atom_site_fract_y
_atom_site_fract_z
Li1 Li 0.000 0.000 0.240
Li2 Li 0.000 0.000 0.760
Nb1 Nb 0.000 0.000 0.000
Nb2 Nb 0.000 0.000 0.500
Se1 Se 0.333 0.667 0.372
Se2 Se 0.333 0.667 0.628
S1 S 0.667 0.333 0.118
S2 S 0.667 0.333 0.882
```